Record 1
Starting from DFT lattice parameters and positions (GGA-PBE), the PXRD pattern of Pr2Ta2O9 was computed for Cu Kα X-rays.

Atomic structure:
Cell: 6.755 3.908 15.649 Å, 90.00 112.45 90.00°
Space group P2_1/c (No. 14)
Unique sites:
Pr1 0.186 0.004 0.195 x4
Ta1 0.195 0.004 0.461 x4
O1 0.080 0.003 0.325 x4
O2 0.157 0.501 0.081 x4
O3 0.160 0.502 0.453 x4
O4 0.438 0.508 0.281 x4
O5 0.500 0.000 0.500 x2

The 12 most intense peaks (2θ from 10° to 90°), by intensity:
2θ = 29.42°, rel. 100, hkl 0 1 3
2θ = 23.25°, rel. 82, hkl 1 0 -4
2θ = 14.19°, rel. 72, hkl 1 0 0
2θ = 28.84°, rel. 64, hkl 1 1 1
2θ = 29.83°, rel. 57, hkl 2 0 -4
2θ = 23.58°, rel. 53, hkl 0 1 1
2θ = 35.45°, rel. 53, hkl 2 1 -1
2θ = 46.47°, rel. 52, hkl 0 2 0
2θ = 33.03°, rel. 45, hkl 1 0 4
2θ = 46.64°, rel. 43, hkl 1 0 -8
2θ = 28.60°, rel. 42, hkl 2 0 0
2θ = 35.95°, rel. 31, hkl 2 1 -3

---

Record 2
Starting from DFT lattice parameters and positions (GGA-PBE), the PXRD pattern of PrTaO4 was computed for Cu Kα X-rays.

Atomic structure:
Cell: 7.730 5.557 7.809 Å, 90.00 100.36 90.00°
Space group P2_1/c (No. 14)
Unique sites:
Pr1 0.152 0.221 0.399 x4
Ta1 0.335 0.733 0.194 x4
O1 0.117 0.516 0.171 x4
O2 0.170 0.507 0.630 x4
O3 0.332 0.653 0.945 x4
O4 0.443 0.089 0.795 x4

The 12 most intense peaks (2θ from 10° to 90°), by intensity:
2θ = 28.45°, rel. 100, hkl 2 1 0
2θ = 28.25°, rel. 73, hkl 0 1 2
2θ = 32.23°, rel. 44, hkl 0 2 0
2θ = 28.95°, rel. 29, hkl 1 1 -2
2θ = 49.16°, rel. 25, hkl 2 2 2
2θ = 50.75°, rel. 19, hkl 4 1 0
2θ = 23.40°, rel. 18, hkl 2 0 0
2θ = 34.11°, rel. 18, hkl 2 1 -2
2θ = 46.65°, rel. 18, hkl 1 0 -4
2θ = 36.11°, rel. 15, hkl 2 0 2
2θ = 55.16°, rel. 14, hkl 2 3 0
2θ = 53.89°, rel. 14, hkl 1 1 4

---

Record 3
Starting from DFT lattice parameters and positions (GGA-PBE), the PXRD pattern of Pr2Ta2O9 was computed for Cu Kα X-rays.

Atomic structure:
Cell: 15.649 3.908 6.755 Å, 90.00 112.45 90.00°
Space group C2/m (No. 12)
Unique sites:
Pr1 0.195 0.000 0.186 x4
Ta1 0.039 0.500 0.805 x4
O1 0.000 0.500 0.500 x2
O2 0.047 0.000 0.840 x4
O3 0.081 0.500 0.157 x4
O4 0.175 0.500 0.920 x4
O5 0.219 0.000 0.562 x4

The 12 most intense peaks (2θ from 10° to 90°), by intensity:
2θ = 29.42°, rel. 100, hkl 3 1 0
2θ = 23.25°, rel. 82, hkl 4 0 -1
2θ = 14.19°, rel. 72, hkl 0 0 1
2θ = 28.84°, rel. 64, hkl 1 1 1
2θ = 29.83°, rel. 57, hkl 4 0 -2
2θ = 23.58°, rel. 53, hkl 1 1 0
2θ = 35.45°, rel. 53, hkl 1 1 -2
2θ = 46.47°, rel. 52, hkl 0 2 0
2θ = 33.03°, rel. 45, hkl 4 0 1
2θ = 46.64°, rel. 43, hkl 8 0 -1
2θ = 28.60°, rel. 42, hkl 0 0 2
2θ = 35.95°, rel. 31, hkl 3 1 -2

---

Record 4
Starting from DFT lattice parameters and positions (GGA-PBE), the PXRD pattern of PrTa7O19 was computed for Cu Kα X-rays.

Atomic structure:
Cell: 6.2970 6.2970 20.1550 Å, 90.00 90.00 120.00°
Space group P-6c2 (No. 188)
Unique sites:
Pr1 0.0000 0.0000 0.0000 x2
Ta1 0.3350 0.0249 0.1558 x12
Ta2 0.6667 0.3333 0.0000 x2
O1 0.0000 0.0000 0.1316 x4
O2 0.0898 0.4228 0.6535 x12
O3 0.2930 0.0421 0.2500 x6
O4 0.3866 0.0968 0.0569 x12
O5 0.6667 0.3333 0.1665 x4

The 12 most intense peaks (2θ from 10° to 90°), by intensity:
2θ = 28.70°, rel. 100, hkl 1 1 1
2θ = 26.53°, rel. 63, hkl 0 0 6
2θ = 36.20°, rel. 51, hkl 1 1 5
2θ = 33.56°, rel. 48, hkl 1 1 4
2θ = 29.73°, rel. 40, hkl 1 1 2
2θ = 50.19°, rel. 40, hkl 3 0 0
2θ = 57.66°, rel. 39, hkl 3 0 6
2θ = 16.25°, rel. 28, hkl 1 0 0
2θ = 17.60°, rel. 25, hkl 0 0 4
2θ = 54.02°, rel. 22, hkl 1 1 10
2θ = 58.26°, rel. 20, hkl 1 1 11
2θ = 42.55°, rel. 13, hkl 1 1 7